1.
Computed powder diffraction line list
Compound: Lu2MgIn
Radiation: λ = 1.5418 Å (Cu Kα)
Structure: a GGA-PBE-relaxed structure
Intensities are scaled so that the largest is 1000.

Main lines, by angle (15 to 90 degrees two-theta):
- 2θ = 24.12°, rel. 210
- 2θ = 34.37°, rel. 1000
- 2θ = 49.39°, rel. 179
- 2θ = 61.56°, rel. 369
- 2θ = 72.44°, rel. 114
- 2θ = 82.70°, rel. 161

Cell and atoms:
```
data_Lu2MgIn
_symmetry_space_group_name_H-M 'P 1'
_symmetry_Int_Tables_number 1
_symmetry_space_group_name_Hall 'P 1'
_cell_length_a 7.380
_cell_length_b 7.380
_cell_length_c 7.380
_cell_angle_alpha 90.00
_cell_angle_beta 90.00
_cell_angle_gamma 90.00
loop_
_atom_site_label
_atom_site_type_symbol
_atom_site_fract_x
_atom_site_fract_y
_atom_site_fract_z
Lu1 Lu 0.250 0.250 0.250
Lu2 Lu 0.250 0.250 0.750
Lu3 Lu 0.250 0.750 0.250
Lu4 Lu 0.250 0.750 0.750
Lu5 Lu 0.750 0.250 0.250
Lu6 Lu 0.750 0.250 0.750
Lu7 Lu 0.750 0.750 0.250
Lu8 Lu 0.750 0.750 0.750
Mg1 Mg 0.000 0.000 0.000
Mg2 Mg 0.000 0.500 0.500
Mg3 Mg 0.500 0.000 0.500
Mg4 Mg 0.500 0.500 0.000
In1 In 0.000 0.000 0.500
In2 In 0.000 0.500 0.000
In3 In 0.500 0.000 0.000
In4 In 0.500 0.500 0.500
```

***

2.
Computed powder diffraction line list
Compound: LuMnIn
Radiation: λ = 1.5418 Å (Cu Kα)
Structure: a GGA-PBE-relaxed structure
Intensities are scaled so that the largest is 1000.

Main lines, by angle (15 to 90 degrees two-theta):
- 2θ = 21.66°, rel. 223
- 2θ = 34.25°, rel. 1000
- 2θ = 37.99°, rel. 642
- 2θ = 52.07°, rel. 302
- 2θ = 66.25°, rel. 290
- 2θ = 67.85°, rel. 226

Cell and atoms:
```
data_LuMnIn
_symmetry_space_group_name_H-M 'P 1'
_symmetry_Int_Tables_number 1
_symmetry_space_group_name_Hall 'P 1'
_cell_length_a 4.737
_cell_length_b 4.737
_cell_length_c 3.401
_cell_angle_alpha 90.00
_cell_angle_beta 90.00
_cell_angle_gamma 120.00
loop_
_atom_site_label
_atom_site_type_symbol
_atom_site_fract_x
_atom_site_fract_y
_atom_site_fract_z
Lu1 Lu 0.000 0.000 0.000
Mn1 Mn 0.333 0.667 0.500
In1 In 0.667 0.333 0.500
```

***

3.
Computed powder diffraction line list
Compound: Lu2InNi2
Radiation: λ = 1.5418 Å (Cu Kα)
Structure: a GGA-PBE-relaxed structure
Intensities are scaled so that the largest is 1000.

Main lines, by angle (15 to 90 degrees two-theta):
- 2θ = 29.85°, rel. 506
- 2θ = 34.75°, rel. 1000
- 2θ = 35.87°, rel. 707
- 2θ = 39.32°, rel. 438
- 2θ = 39.52°, rel. 296
- 2θ = 60.28°, rel. 311

Cell and atoms:
```
data_Lu2InNi2
_symmetry_space_group_name_H-M 'P 1'
_symmetry_Int_Tables_number 1
_symmetry_space_group_name_Hall 'P 1'
_cell_length_a 3.888
_cell_length_b 14.075
_cell_length_c 3.562
_cell_angle_alpha 90.00
_cell_angle_beta 90.00
_cell_angle_gamma 90.00
loop_
_atom_site_label
_atom_site_type_symbol
_atom_site_fract_x
_atom_site_fract_y
_atom_site_fract_z
Lu1 Lu 0.000 0.141 0.000
Lu2 Lu 0.000 0.859 0.000
Lu3 Lu 0.500 0.359 0.000
Lu4 Lu 0.500 0.641 0.000
In1 In 0.000 0.500 0.500
In2 In 0.500 0.000 0.500
Ni1 Ni 0.000 0.302 0.500
Ni2 Ni 0.000 0.698 0.500
Ni3 Ni 0.500 0.198 0.500
Ni4 Ni 0.500 0.802 0.500
```

***

4.
Computed powder diffraction line list
Compound: Lu2InNi2
Radiation: λ = 1.5418 Å (Cu Kα)
Structure: a GGA-PBE-relaxed structure
Intensities are scaled so that the largest is 1000.

Main lines, by angle (15 to 90 degrees two-theta):
- 2θ = 27.31°, rel. 254
- 2θ = 35.26°, rel. 506
- 2θ = 37.41°, rel. 1000
- 2θ = 39.00°, rel. 437
- 2θ = 58.21°, rel. 181
- 2θ = 59.70°, rel. 180

Cell and atoms:
```
data_Lu2InNi2
_symmetry_space_group_name_H-M 'P 1'
_symmetry_Int_Tables_number 1
_symmetry_space_group_name_Hall 'P 1'
_cell_length_a 7.303
_cell_length_b 7.303
_cell_length_c 3.551
_cell_angle_alpha 90.00
_cell_angle_beta 90.00
_cell_angle_gamma 90.00
loop_
_atom_site_label
_atom_site_type_symbol
_atom_site_fract_x
_atom_site_fract_y
_atom_site_fract_z
Lu1 Lu 0.172 0.328 0.000
Lu2 Lu 0.328 0.828 0.000
Lu3 Lu 0.672 0.172 0.000
Lu4 Lu 0.828 0.672 0.000
In1 In 0.000 0.000 0.500
In2 In 0.500 0.500 0.500
Ni1 Ni 0.121 0.621 0.500
Ni2 Ni 0.379 0.121 0.500
Ni3 Ni 0.621 0.879 0.500
Ni4 Ni 0.879 0.379 0.500
```

***

5.
Computed powder diffraction line list
Compound: LuInNi2
Radiation: λ = 1.5418 Å (Cu Kα)
Structure: a GGA-PBE-relaxed structure
Intensities are scaled so that the largest is 1000.

Main lines, by angle (15 to 90 degrees two-theta):
- 2θ = 27.98°, rel. 184
- 2θ = 39.98°, rel. 1000
- 2θ = 57.82°, rel. 165
- 2θ = 65.43°, rel. 72
- 2θ = 72.61°, rel. 328
- 2θ = 86.26°, rel. 105

Cell and atoms:
```
data_LuInNi2
_symmetry_space_group_name_H-M 'P 1'
_symmetry_Int_Tables_number 1
_symmetry_space_group_name_Hall 'P 1'
_cell_length_a 6.379
_cell_length_b 6.379
_cell_length_c 6.379
_cell_angle_alpha 90.00
_cell_angle_beta 90.00
_cell_angle_gamma 90.00
loop_
_atom_site_label
_atom_site_type_symbol
_atom_site_fract_x
_atom_site_fract_y
_atom_site_fract_z
Lu1 Lu 0.000 0.000 0.000
Lu2 Lu 0.000 0.500 0.500
Lu3 Lu 0.500 0.000 0.500
Lu4 Lu 0.500 0.500 0.000
In1 In 0.000 0.000 0.500
In2 In 0.000 0.500 0.000
In3 In 0.500 0.000 0.000
In4 In 0.500 0.500 0.500
Ni1 Ni 0.250 0.250 0.250
Ni2 Ni 0.250 0.250 0.750
Ni3 Ni 0.250 0.750 0.250
Ni4 Ni 0.250 0.750 0.750
Ni5 Ni 0.750 0.250 0.250
Ni6 Ni 0.750 0.250 0.750
Ni7 Ni 0.750 0.750 0.250
Ni8 Ni 0.750 0.750 0.750
```

***

6.
Computed powder diffraction line list
Compound: LuIn2Pd
Radiation: λ = 1.5418 Å (Cu Kα)
Structure: a GGA-PBE-relaxed structure
Intensities are scaled so that the largest is 1000.

Main lines, by angle (15 to 90 degrees two-theta):
- 2θ = 32.60°, rel. 632
- 2θ = 33.91°, rel. 863
- 2θ = 34.02°, rel. 1000
- 2θ = 35.42°, rel. 415
- 2θ = 37.83°, rel. 537
- 2θ = 39.28°, rel. 481

Cell and atoms:
```
data_LuIn2Pd
_symmetry_space_group_name_H-M 'P 1'
_symmetry_Int_Tables_number 1
_symmetry_space_group_name_Hall 'P 1'
_cell_length_a 10.747
_cell_length_b 10.747
_cell_length_c 10.747
_cell_angle_alpha 100.38
_cell_angle_beta 100.38
_cell_angle_gamma 129.77
loop_
_atom_site_label
_atom_site_type_symbol
_atom_site_fract_x
_atom_site_fract_y
_atom_site_fract_z
Lu1 Lu 0.000 0.000 0.000
Lu2 Lu 0.067 0.348 0.281
Lu3 Lu 0.067 0.787 0.719
Lu4 Lu 0.348 0.067 0.281
Lu5 Lu 0.377 0.377 0.597
Lu6 Lu 0.377 0.780 0.000
Lu7 Lu 0.462 0.462 0.000
Lu8 Lu 0.780 0.377 0.000
Lu9 Lu 0.780 0.780 0.403
Lu10 Lu 0.787 0.067 0.719
In1 In 0.099 0.099 0.737
In2 In 0.099 0.362 0.000
In3 In 0.188 0.681 0.208
In4 In 0.188 0.980 0.507
In5 In 0.208 0.591 0.617
In6 In 0.362 0.099 0.000
In7 In 0.362 0.362 0.263
In8 In 0.473 0.681 0.493
In9 In 0.473 0.980 0.792
In10 In 0.577 0.737 0.839
In11 In 0.591 0.208 0.617
In12 In 0.591 0.974 0.383
In13 In 0.681 0.188 0.208
In14 In 0.681 0.473 0.493
In15 In 0.737 0.577 0.839
In16 In 0.737 0.898 0.161
In17 In 0.898 0.737 0.161
In18 In 0.974 0.591 0.383
In19 In 0.980 0.188 0.507
In20 In 0.980 0.473 0.792
Pd1 Pd 0.086 0.086 0.322
Pd2 Pd 0.086 0.764 0.000
Pd3 Pd 0.220 0.432 0.788
Pd4 Pd 0.342 0.842 0.500
Pd5 Pd 0.432 0.220 0.788
Pd6 Pd 0.432 0.643 0.212
Pd7 Pd 0.643 0.432 0.212
Pd8 Pd 0.764 0.086 0.000
Pd9 Pd 0.764 0.764 0.678
Pd10 Pd 0.842 0.342 0.500
```

***

7.
Computed powder diffraction line list
Compound: LuInPd
Radiation: λ = 1.5418 Å (Cu Kα)
Structure: a GGA-PBE-relaxed structure
Intensities are scaled so that the largest is 1000.

Main lines, by angle (15 to 90 degrees two-theta):
- 2θ = 33.48°, rel. 1000
- 2θ = 35.41°, rel. 504
- 2θ = 36.14°, rel. 916
- 2θ = 40.34°, rel. 383
- 2θ = 49.21°, rel. 208
- 2θ = 65.72°, rel. 323

Cell and atoms:
```
data_LuInPd
_symmetry_space_group_name_H-M 'P 1'
_symmetry_Int_Tables_number 1
_symmetry_space_group_name_Hall 'P 1'
_cell_length_a 7.744
_cell_length_b 7.744
_cell_length_c 3.703
_cell_angle_alpha 90.00
_cell_angle_beta 90.00
_cell_angle_gamma 120.00
loop_
_atom_site_label
_atom_site_type_symbol
_atom_site_fract_x
_atom_site_fract_y
_atom_site_fract_z
Lu1 Lu 0.000 0.411 0.000
Lu2 Lu 0.411 0.000 0.000
Lu3 Lu 0.589 0.589 0.000
In1 In 0.000 0.738 0.500
In2 In 0.262 0.262 0.500
In3 In 0.738 0.000 0.500
Pd1 Pd 0.000 0.000 0.000
Pd2 Pd 0.333 0.667 0.500
Pd3 Pd 0.667 0.333 0.500
```

***

8.
Computed powder diffraction line list
Compound: LuInPd2
Radiation: λ = 1.5418 Å (Cu Kα)
Structure: a GGA-PBE-relaxed structure
Intensities are scaled so that the largest is 1000.

Main lines, by angle (15 to 90 degrees two-theta):
- 2θ = 22.92°, rel. 29
- 2θ = 26.53°, rel. 25
- 2θ = 37.87°, rel. 1000
- 2θ = 54.63°, rel. 171
- 2θ = 68.39°, rel. 345
- 2θ = 80.92°, rel. 108

Cell and atoms:
```
data_LuInPd2
_symmetry_space_group_name_H-M 'P 1'
_symmetry_Int_Tables_number 1
_symmetry_space_group_name_Hall 'P 1'
_cell_length_a 6.720
_cell_length_b 6.720
_cell_length_c 6.720
_cell_angle_alpha 90.00
_cell_angle_beta 90.00
_cell_angle_gamma 90.00
loop_
_atom_site_label
_atom_site_type_symbol
_atom_site_fract_x
_atom_site_fract_y
_atom_site_fract_z
Lu1 Lu 0.000 0.000 0.000
Lu2 Lu 0.000 0.500 0.500
Lu3 Lu 0.500 0.000 0.500
Lu4 Lu 0.500 0.500 0.000
In1 In 0.000 0.000 0.500
In2 In 0.000 0.500 0.000
In3 In 0.500 0.000 0.000
In4 In 0.500 0.500 0.500
Pd1 Pd 0.250 0.250 0.250
Pd2 Pd 0.250 0.250 0.750
Pd3 Pd 0.250 0.750 0.250
Pd4 Pd 0.250 0.750 0.750
Pd5 Pd 0.750 0.250 0.250
Pd6 Pd 0.750 0.250 0.750
Pd7 Pd 0.750 0.750 0.250
Pd8 Pd 0.750 0.750 0.750
```

***

9.
Computed powder diffraction line list
Compound: LuInRh
Radiation: λ = 1.5418 Å (Cu Kα)
Structure: a GGA-PBE-relaxed structure
Intensities are scaled so that the largest is 1000.

Main lines, by angle (15 to 90 degrees two-theta):
- 2θ = 32.53°, rel. 778
- 2θ = 33.49°, rel. 467
- 2θ = 34.05°, rel. 438
- 2θ = 35.15°, rel. 1000
- 2θ = 40.42°, rel. 507
- 2θ = 42.92°, rel. 443

Cell and atoms:
```
data_LuInRh
_symmetry_space_group_name_H-M 'P 1'
_symmetry_Int_Tables_number 1
_symmetry_space_group_name_Hall 'P 1'
_cell_length_a 6.925
_cell_length_b 4.215
_cell_length_c 8.540
_cell_angle_alpha 90.00
_cell_angle_beta 90.00
_cell_angle_gamma 90.00
loop_
_atom_site_label
_atom_site_type_symbol
_atom_site_fract_x
_atom_site_fract_y
_atom_site_fract_z
Lu1 Lu 0.038 0.250 0.176
Lu2 Lu 0.462 0.750 0.676
Lu3 Lu 0.538 0.250 0.324
Lu4 Lu 0.962 0.750 0.824
In1 In 0.144 0.250 0.559
In2 In 0.356 0.750 0.059
In3 In 0.644 0.250 0.941
In4 In 0.856 0.750 0.441
Rh1 Rh 0.242 0.250 0.868
Rh2 Rh 0.258 0.750 0.368
Rh3 Rh 0.742 0.250 0.632
Rh4 Rh 0.758 0.750 0.132
```

***

10.
Computed powder diffraction line list
Compound: Lu3InS6
Radiation: λ = 1.5418 Å (Cu Kα)
Structure: a GGA-PBE-relaxed structure
Intensities are scaled so that the largest is 1000.

Main lines, by angle (15 to 90 degrees two-theta):
- 2θ = 25.53°, rel. 1000
- 2θ = 26.73°, rel. 495
- 2θ = 31.71°, rel. 384
- 2θ = 35.23°, rel. 393
- 2θ = 36.16°, rel. 382
- 2θ = 45.71°, rel. 357

Cell and atoms:
```
data_Lu3InS6
_symmetry_space_group_name_H-M 'P 1'
_symmetry_Int_Tables_number 1
_symmetry_space_group_name_Hall 'P 1'
_cell_length_a 13.238
_cell_length_b 16.422
_cell_length_c 3.796
_cell_angle_alpha 90.00
_cell_angle_beta 90.00
_cell_angle_gamma 90.00
loop_
_atom_site_label
_atom_site_type_symbol
_atom_site_fract_x
_atom_site_fract_y
_atom_site_fract_z
Lu1 Lu 0.035 0.224 0.247
Lu2 Lu 0.190 0.644 0.248
Lu3 Lu 0.247 0.389 0.236
Lu4 Lu 0.253 0.889 0.764
Lu5 Lu 0.310 0.144 0.752
Lu6 Lu 0.465 0.724 0.753
Lu7 Lu 0.535 0.276 0.753
Lu8 Lu 0.690 0.856 0.752
Lu9 Lu 0.747 0.111 0.764
Lu10 Lu 0.753 0.611 0.236
Lu11 Lu 0.810 0.356 0.248
Lu12 Lu 0.965 0.776 0.247
In1 In 0.000 0.000 0.874
In2 In 0.000 0.500 0.747
In3 In 0.500 0.000 0.253
In4 In 0.500 0.500 0.126
S1 S 0.021 0.393 0.246
S2 S 0.103 0.906 0.269
S3 S 0.109 0.118 0.749
S4 S 0.116 0.743 0.750
S5 S 0.179 0.284 0.740
S6 S 0.195 0.520 0.747
S7 S 0.305 0.020 0.253
S8 S 0.321 0.784 0.260
S9 S 0.384 0.243 0.250
S10 S 0.391 0.618 0.251
S11 S 0.397 0.406 0.731
S12 S 0.479 0.893 0.754
S13 S 0.521 0.107 0.754
S14 S 0.603 0.594 0.731
S15 S 0.609 0.382 0.251
S16 S 0.616 0.757 0.250
S17 S 0.679 0.216 0.260
S18 S 0.695 0.980 0.253
S19 S 0.805 0.480 0.747
S20 S 0.821 0.716 0.740
S21 S 0.884 0.257 0.750
S22 S 0.891 0.882 0.749
S23 S 0.897 0.094 0.269
S24 S 0.979 0.607 0.246
```

***

11.
Computed powder diffraction line list
Compound: TbLuIn2
Radiation: λ = 1.5418 Å (Cu Kα)
Structure: a GGA-PBE-relaxed structure
Intensities are scaled so that the largest is 1000.

Main lines, by angle (15 to 90 degrees two-theta):
- 2θ = 23.82°, rel. 35
- 2θ = 33.93°, rel. 1000
- 2θ = 48.75°, rel. 179
- 2θ = 60.72°, rel. 368
- 2θ = 71.41°, rel. 113
- 2θ = 81.46°, rel. 159

Cell and atoms:
```
data_TbLuIn2
_symmetry_space_group_name_H-M 'P 1'
_symmetry_Int_Tables_number 1
_symmetry_space_group_name_Hall 'P 1'
_cell_length_a 7.472
_cell_length_b 7.472
_cell_length_c 7.472
_cell_angle_alpha 90.00
_cell_angle_beta 90.00
_cell_angle_gamma 90.00
loop_
_atom_site_label
_atom_site_type_symbol
_atom_site_fract_x
_atom_site_fract_y
_atom_site_fract_z
Tb1 Tb 0.000 0.000 0.000
Tb2 Tb 0.000 0.500 0.500
Tb3 Tb 0.500 0.000 0.500
Tb4 Tb 0.500 0.500 0.000
Lu1 Lu 0.000 0.000 0.500
Lu2 Lu 0.000 0.500 0.000
Lu3 Lu 0.500 0.000 0.000
Lu4 Lu 0.500 0.500 0.500
In1 In 0.250 0.250 0.250
In2 In 0.250 0.250 0.750
In3 In 0.250 0.750 0.250
In4 In 0.250 0.750 0.750
In5 In 0.750 0.250 0.250
In6 In 0.750 0.250 0.750
In7 In 0.750 0.750 0.250
In8 In 0.750 0.750 0.750
```

***

12.
Computed powder diffraction line list
Compound: Lu2TlIn
Radiation: λ = 1.5418 Å (Cu Kα)
Structure: a GGA-PBE-relaxed structure
Intensities are scaled so that the largest is 1000.

Main lines, by angle (15 to 90 degrees two-theta):
- 2θ = 20.65°, rel. 34
- 2θ = 34.04°, rel. 1000
- 2θ = 48.91°, rel. 181
- 2θ = 60.93°, rel. 376
- 2θ = 71.67°, rel. 116
- 2θ = 81.77°, rel. 165

Cell and atoms:
```
data_Lu2TlIn
_symmetry_space_group_name_H-M 'P 1'
_symmetry_Int_Tables_number 1
_symmetry_space_group_name_Hall 'P 1'
_cell_length_a 7.449
_cell_length_b 7.449
_cell_length_c 7.449
_cell_angle_alpha 90.00
_cell_angle_beta 90.00
_cell_angle_gamma 90.00
loop_
_atom_site_label
_atom_site_type_symbol
_atom_site_fract_x
_atom_site_fract_y
_atom_site_fract_z
Lu1 Lu 0.250 0.250 0.250
Lu2 Lu 0.250 0.250 0.750
Lu3 Lu 0.250 0.750 0.250
Lu4 Lu 0.250 0.750 0.750
Lu5 Lu 0.750 0.250 0.250
Lu6 Lu 0.750 0.250 0.750
Lu7 Lu 0.750 0.750 0.250
Lu8 Lu 0.750 0.750 0.750
Tl1 Tl 0.000 0.000 0.000
Tl2 Tl 0.000 0.500 0.500
Tl3 Tl 0.500 0.000 0.500
Tl4 Tl 0.500 0.500 0.000
In1 In 0.000 0.000 0.500
In2 In 0.000 0.500 0.000
In3 In 0.500 0.000 0.000
In4 In 0.500 0.500 0.500
```

***

13.
Computed powder diffraction line list
Compound: TmLuIn2
Radiation: λ = 1.5418 Å (Cu Kα)
Structure: a GGA-PBE-relaxed structure
Intensities are scaled so that the largest is 1000.

Main lines, by angle (15 to 90 degrees two-theta):
- 2θ = 23.95°, rel. 41
- 2θ = 34.13°, rel. 1000
- 2θ = 49.04°, rel. 179
- 2θ = 61.10°, rel. 368
- 2θ = 71.88°, rel. 113
- 2θ = 82.02°, rel. 160

Cell and atoms:
```
data_TmLuIn2
_symmetry_space_group_name_H-M 'P 1'
_symmetry_Int_Tables_number 1
_symmetry_space_group_name_Hall 'P 1'
_cell_length_a 7.430
_cell_length_b 7.430
_cell_length_c 7.430
_cell_angle_alpha 90.00
_cell_angle_beta 90.00
_cell_angle_gamma 90.00
loop_
_atom_site_label
_atom_site_type_symbol
_atom_site_fract_x
_atom_site_fract_y
_atom_site_fract_z
Tm1 Tm 0.000 0.000 0.000
Tm2 Tm 0.000 0.500 0.500
Tm3 Tm 0.500 0.000 0.500
Tm4 Tm 0.500 0.500 0.000
Lu1 Lu 0.000 0.000 0.500
Lu2 Lu 0.000 0.500 0.000
Lu3 Lu 0.500 0.000 0.000
Lu4 Lu 0.500 0.500 0.500
In1 In 0.250 0.250 0.250
In2 In 0.250 0.250 0.750
In3 In 0.250 0.750 0.250
In4 In 0.250 0.750 0.750
In5 In 0.750 0.250 0.250
In6 In 0.750 0.250 0.750
In7 In 0.750 0.750 0.250
In8 In 0.750 0.750 0.750
```

***

14.
Computed powder diffraction line list
Compound: YLuIn2
Radiation: λ = 1.5418 Å (Cu Kα)
Structure: a GGA-PBE-relaxed structure
Intensities are scaled so that the largest is 1000.

Main lines, by angle (15 to 90 degrees two-theta):
- 2θ = 20.56°, rel. 60
- 2θ = 33.89°, rel. 1000
- 2θ = 48.68°, rel. 178
- 2θ = 60.64°, rel. 364
- 2θ = 71.31°, rel. 111
- 2θ = 81.34°, rel. 156

Cell and atoms:
```
data_YLuIn2
_symmetry_space_group_name_H-M 'P 1'
_symmetry_Int_Tables_number 1
_symmetry_space_group_name_Hall 'P 1'
_cell_length_a 7.482
_cell_length_b 7.482
_cell_length_c 7.482
_cell_angle_alpha 90.00
_cell_angle_beta 90.00
_cell_angle_gamma 90.00
loop_
_atom_site_label
_atom_site_type_symbol
_atom_site_fract_x
_atom_site_fract_y
_atom_site_fract_z
Y1 Y 0.000 0.000 0.000
Y2 Y 0.000 0.500 0.500
Y3 Y 0.500 0.000 0.500
Y4 Y 0.500 0.500 0.000
Lu1 Lu 0.000 0.000 0.500
Lu2 Lu 0.000 0.500 0.000
Lu3 Lu 0.500 0.000 0.000
Lu4 Lu 0.500 0.500 0.500
In1 In 0.250 0.250 0.250
In2 In 0.250 0.250 0.750
In3 In 0.250 0.750 0.250
In4 In 0.250 0.750 0.750
In5 In 0.750 0.250 0.250
In6 In 0.750 0.250 0.750
In7 In 0.750 0.750 0.250
In8 In 0.750 0.750 0.750
```